# 1
The following is a calculated powder diffractogram of TmNpU2As4. It was derived from the PBE geometry in Alexandria, using Cu Kα, 1.54184 Å.
Intensities are scaled so that the largest is 100.

Largest 10 diffraction maxima, low angle first, 10° ≤ 2θ ≤ 90°:
2θ = 26.94°, I = 20.3, hkl 1 1 -1; 2θ = 31.00°, I = 100.0, hkl 1 1 1; 2θ = 43.96°, I = 12.9, hkl 2 0 2; 2θ = 44.13°, I = 25.6, hkl 1 1 -3; 2θ = 44.71°, I = 24.7, hkl 3 1 -1; 2θ = 44.85°, I = 12.2, hkl 0 2 0; 2θ = 55.53°, I = 13.1, hkl 2 2 -2; 2θ = 64.63°, I = 12.6, hkl 2 2 2; 2θ = 72.98°, I = 11.9, hkl 0 2 4; 2θ = 73.84°, I = 11.5, hkl 4 2 0

Atomic structure:
abc: 7.028 4.042 7.147
angles: 90.00 108.92 90.00
Space group P2/m (No. 10)
Symmetry-distinct sites (fractional):
Tm1 0.000 0.000 0.000 x1
Np1 0.000 0.500 0.500 x1
U1 0.500 0.000 0.500 x1
U2 0.500 0.500 0.000 x1
As1 0.250 0.000 0.753 x2
As2 0.250 0.500 0.247 x2

# 2
The following is a calculated powder diffractogram of NpUAs2. It was derived from the PBE geometry in Alexandria, using Cu Kα, 1.54184 Å.
Intensities are scaled so that the largest is 100.

Largest 10 diffraction maxima, low angle first, 10° ≤ 2θ ≤ 90°:
2θ = 26.64°, I = 46.1, hkl 1 1 2; 2θ = 30.86°, I = 100.0, hkl 2 0 0; 2θ = 44.20°, I = 75.7, hkl 2 2 0; 2θ = 52.36°, I = 23.6, hkl 3 1 2; 2θ = 54.88°, I = 27.0, hkl 2 2 4; 2θ = 64.29°, I = 12.7, hkl 4 0 0; 2θ = 70.88°, I = 10.1, hkl 3 3 2; 2θ = 73.01°, I = 35.4, hkl 4 2 0; 2θ = 81.34°, I = 27.0, hkl 4 2 4; 2θ = 87.45°, I = 8.4, hkl 5 1 2

Atomic structure:
abc: 5.795 5.795 11.591
angles: 90.00 90.00 90.00
Space group I4_1/amd (No. 141, origin choice 2)
Symmetry-distinct sites (fractional):
Np1 0.000 0.250 0.375 x4
U1 0.000 0.250 0.875 x4
As1 0.000 0.250 0.125 x8

# 3
The following is a calculated powder diffractogram of NpUAs2. It was derived from the PBE geometry in Alexandria, using Cu Kα, 1.54184 Å.
Intensities are scaled so that the largest is 100.

Largest 10 diffraction maxima, low angle first, 10° ≤ 2θ ≤ 90°:
2θ = 25.42°, I = 29.5, hkl 1 1 0; 2θ = 36.26°, I = 100.0, hkl 2 0 0; 2θ = 44.81°, I = 9.3, hkl 2 0 1; 2θ = 52.12°, I = 6.0, hkl 0 0 2; 2θ = 52.27°, I = 11.9, hkl 2 2 0; 2θ = 58.99°, I = 8.6, hkl 3 1 0; 2θ = 65.23°, I = 37.2, hkl 3 1 1; 2θ = 76.94°, I = 7.9, hkl 2 2 2; 2θ = 88.02°, I = 5.8, hkl 1 1 3; 2θ = 88.28°, I = 11.6, hkl 4 2 0

Atomic structure:
abc: 4.950 4.950 3.510
angles: 90.00 90.00 90.00
Space group P4/mmm (No. 123)
Symmetry-distinct sites (fractional):
Np1 0.000 0.000 0.000 x1
U1 0.500 0.500 0.000 x1
As1 0.000 0.500 0.500 x2

Copy entry 3 word for word.
The following is a calculated powder diffractogram of NpUAs2. It was derived from the PBE geometry in Alexandria, using Cu Kα, 1.54184 Å.
Intensities are scaled so that the largest is 100.

Largest 10 diffraction maxima, low angle first, 10° ≤ 2θ ≤ 90°:
2θ = 25.42°, I = 29.5, hkl 1 1 0; 2θ = 36.26°, I = 100.0, hkl 2 0 0; 2θ = 44.81°, I = 9.3, hkl 2 0 1; 2θ = 52.12°, I = 6.0, hkl 0 0 2; 2θ = 52.27°, I = 11.9, hkl 2 2 0; 2θ = 58.99°, I = 8.6, hkl 3 1 0; 2θ = 65.23°, I = 37.2, hkl 3 1 1; 2θ = 76.94°, I = 7.9, hkl 2 2 2; 2θ = 88.02°, I = 5.8, hkl 1 1 3; 2θ = 88.28°, I = 11.6, hkl 4 2 0

Atomic structure:
abc: 4.950 4.950 3.510
angles: 90.00 90.00 90.00
Space group P4/mmm (No. 123)
Symmetry-distinct sites (fractional):
Np1 0.000 0.000 0.000 x1
U1 0.500 0.500 0.000 x1
As1 0.000 0.500 0.500 x2